1.
For DyAl9Fe2, DFT lattice parameters and positions (PBE) gives the calculated X-ray diffraction stick pattern in this record (Cu Kα (weighted mean of Kα1 and Kα2)).
No peak broadening, texture or thermal motion is included.

Peak list (10 most intense, 10 to 90 degrees two-theta, in order of falling intensity)
Position (°2θ), I_rel
37.91, 100
22.94, 63
33.25, 46
29.07, 24
41.10, 23
16.73, 20
33.83, 18
46.88, 17
68.52, 16
48.17, 15

Crystal structure
abc: 8.217 8.217 8.217
angles: 99.67 99.67 131.61
Positions (direct):
1 Dy 0.375 0.625 0.750
2 Dy 0.625 0.375 0.250
3 Al 0.125 0.875 0.250
4 Al 0.139 0.569 0.325
5 Al 0.139 0.814 0.570
6 Al 0.186 0.257 0.325
7 Al 0.186 0.861 0.930
8 Al 0.257 0.186 0.825
9 Al 0.257 0.431 0.070
10 Al 0.431 0.257 0.570
11 Al 0.431 0.861 0.175
12 Al 0.569 0.139 0.825
13 Al 0.569 0.743 0.430
14 Al 0.743 0.569 0.930
15 Al 0.743 0.814 0.175
16 Al 0.814 0.139 0.070
17 Al 0.814 0.743 0.675
18 Al 0.861 0.186 0.430
19 Al 0.861 0.431 0.675
20 Al 0.875 0.125 0.750
21 Fe 0.000 0.000 0.000
22 Fe 0.000 0.000 0.500
23 Fe 0.000 0.500 0.000
24 Fe 0.500 0.000 0.500

***

2.
For DyAl7Fe5, DFT lattice parameters and positions (PBE) gives the calculated X-ray diffraction stick pattern in this record (Cu Kα (weighted mean of Kα1 and Kα2)).
No peak broadening, texture or thermal motion is included.

Peak list (10 most intense, 10 to 90 degrees two-theta, in order of falling intensity)
Position (°2θ), I_rel
41.80, 100
29.21, 87
41.65, 79
14.51, 47
35.98, 34
60.53, 31
41.88, 30
20.48, 29
76.38, 23
32.80, 22

Crystal structure
abc: 6.601 6.601 6.601
angles: 135.35 98.21 98.39
Positions (direct):
1 Dy 0.000 0.000 0.000
2 Al 0.209 0.499 0.710
3 Al 0.328 0.986 0.342
4 Al 0.335 0.335 0.000
5 Al 0.644 0.986 0.658
6 Al 0.655 0.655 0.000
7 Al 0.768 0.268 0.500
8 Al 0.790 0.499 0.290
9 Fe 0.230 0.730 0.500
10 Fe 0.494 0.491 0.498
11 Fe 0.494 0.996 0.003
12 Fe 0.993 0.491 0.997
13 Fe 0.993 0.996 0.502

***

3.
For DyAl10Fe2, DFT lattice parameters and positions (PBE) gives the calculated X-ray diffraction stick pattern in this record (Cu Kα (weighted mean of Kα1 and Kα2)).
No peak broadening, texture or thermal motion is included.

Peak list (10 most intense, 10 to 90 degrees two-theta, in order of falling intensity)
Position (°2θ), I_rel
40.42, 100
40.97, 86
34.82, 43
28.21, 42
16.52, 41
28.45, 38
37.33, 36
13.22, 34
40.20, 29
23.88, 26

Crystal structure
abc: 6.749 6.749 8.972
angles: 90.00 90.00 97.16
Positions (direct):
1 Dy 0.126 0.874 0.750
2 Dy 0.874 0.126 0.250
3 Al 0.134 0.414 0.750
4 Al 0.158 0.842 0.097
5 Al 0.158 0.842 0.403
6 Al 0.220 0.478 0.250
7 Al 0.227 0.227 0.000
8 Al 0.227 0.227 0.500
9 Al 0.375 0.625 0.549
10 Al 0.375 0.625 0.951
11 Al 0.414 0.134 0.250
12 Al 0.478 0.220 0.750
13 Al 0.522 0.780 0.250
14 Al 0.586 0.866 0.750
15 Al 0.625 0.375 0.049
16 Al 0.625 0.375 0.451
17 Al 0.773 0.773 0.000
18 Al 0.773 0.773 0.500
19 Al 0.780 0.522 0.750
20 Al 0.842 0.158 0.597
21 Al 0.842 0.158 0.903
22 Al 0.866 0.586 0.250
23 Fe 0.000 0.500 0.000
24 Fe 0.000 0.500 0.500
25 Fe 0.500 0.000 0.000
26 Fe 0.500 0.000 0.500

***

4.
For Dy4Al16Fe3, DFT lattice parameters and positions (PBE) gives the calculated X-ray diffraction stick pattern in this record (Cu Kα (weighted mean of Kα1 and Kα2)).
No peak broadening, texture or thermal motion is included.

Peak list (10 most intense, 10 to 90 degrees two-theta, in order of falling intensity)
Position (°2θ), I_rel
38.36, 100
20.85, 92
31.83, 86
42.43, 65
33.77, 44
29.65, 42
54.01, 37
26.26, 33
59.85, 28
74.91, 26

Crystal structure
abc: 6.026 6.026 11.224
angles: 90.00 90.00 90.00
Positions (direct):
1 Dy 0.000 0.500 0.192
2 Dy 0.000 0.500 0.808
3 Dy 0.500 0.000 0.192
4 Dy 0.500 0.000 0.808
5 Al 0.000 0.000 0.195
6 Al 0.000 0.000 0.805
7 Al 0.225 0.225 0.000
8 Al 0.225 0.775 0.000
9 Al 0.251 0.251 0.386
10 Al 0.251 0.251 0.614
11 Al 0.251 0.749 0.386
12 Al 0.251 0.749 0.614
13 Al 0.500 0.500 0.212
14 Al 0.500 0.500 0.788
15 Al 0.749 0.251 0.386
16 Al 0.749 0.251 0.614
17 Al 0.749 0.749 0.386
18 Al 0.749 0.749 0.614
19 Al 0.775 0.225 0.000
20 Al 0.775 0.775 0.000
21 Fe 0.000 0.500 0.500
22 Fe 0.500 0.000 0.500
23 Fe 0.500 0.500 0.000

***

5.
For Dy5Mg5Al12Fe4Si6, DFT lattice parameters and positions (PBE) gives the calculated X-ray diffraction stick pattern in this record (Cu Kα (weighted mean of Kα1 and Kα2)).
No peak broadening, texture or thermal motion is included.

Peak list (10 most intense, 10 to 90 degrees two-theta, in order of falling intensity)
Position (°2θ), I_rel
37.79, 100
35.35, 90
21.18, 48
30.13, 46
16.71, 40
27.97, 37
22.27, 35
43.13, 32
30.92, 30
27.10, 28

Crystal structure
abc: 11.864 11.864 3.992
angles: 90.00 90.00 90.00
Positions (direct):
1 Dy 0.000 0.000 0.000
2 Dy 0.253 0.500 0.000
3 Dy 0.500 0.253 0.000
4 Dy 0.500 0.747 0.000
5 Dy 0.747 0.500 0.000
6 Mg 0.202 0.202 0.000
7 Mg 0.202 0.798 0.000
8 Mg 0.500 0.500 0.500
9 Mg 0.798 0.202 0.000
10 Mg 0.798 0.798 0.000
11 Al 0.113 0.373 0.500
12 Al 0.113 0.627 0.500
13 Al 0.331 0.331 0.500
14 Al 0.331 0.669 0.500
15 Al 0.373 0.113 0.500
16 Al 0.373 0.887 0.500
17 Al 0.627 0.113 0.500
18 Al 0.627 0.887 0.500
19 Al 0.669 0.331 0.500
20 Al 0.669 0.669 0.500
21 Al 0.887 0.373 0.500
22 Al 0.887 0.627 0.500
23 Fe 0.000 0.305 0.000
24 Fe 0.000 0.695 0.000
25 Fe 0.305 0.000 0.000
26 Fe 0.695 0.000 0.000
27 Si 0.000 0.189 0.500
28 Si 0.000 0.500 0.000
29 Si 0.000 0.811 0.500
30 Si 0.189 0.000 0.500
31 Si 0.500 0.000 0.000
32 Si 0.811 0.000 0.500

***

6.
For Dy3Al3Ga2, DFT lattice parameters and positions (PBE) gives the calculated X-ray diffraction stick pattern in this record (Cu Kα (weighted mean of Kα1 and Kα2)).
No peak broadening, texture or thermal motion is included.

Peak list (10 most intense, 10 to 90 degrees two-theta, in order of falling intensity)
Position (°2θ), I_rel
32.77, 100
33.00, 60
37.28, 45
24.46, 38
41.53, 37
34.00, 25
54.50, 24
25.13, 20
22.86, 20
40.71, 19

Crystal structure
abc: 5.783 5.783 14.871
angles: 90.00 90.00 135.82
Positions (direct):
1 Dy 0.080 0.920 0.611
2 Dy 0.080 0.920 0.889
3 Dy 0.357 0.643 0.750
4 Dy 0.643 0.357 0.250
5 Dy 0.920 0.080 0.111
6 Dy 0.920 0.080 0.389
7 Al 0.360 0.640 0.250
8 Al 0.383 0.617 0.539
9 Al 0.383 0.617 0.961
10 Al 0.617 0.383 0.039
11 Al 0.617 0.383 0.461
12 Al 0.640 0.360 0.750
13 Ga 0.211 0.789 0.107
14 Ga 0.211 0.789 0.393
15 Ga 0.789 0.211 0.607
16 Ga 0.789 0.211 0.893

***

7.
For DyAlGa6, DFT lattice parameters and positions (PBE) gives the calculated X-ray diffraction stick pattern in this record (Cu Kα (weighted mean of Kα1 and Kα2)).
No peak broadening, texture or thermal motion is included.

Peak list (10 most intense, 10 to 90 degrees two-theta, in order of falling intensity)
Position (°2θ), I_rel
36.90, 100
42.98, 33
74.76, 24
62.14, 20
42.64, 16
23.60, 14
10.43, 13
74.27, 11
62.41, 11
31.87, 10

Crystal structure
abc: 4.209 4.209 8.482
angles: 90.00 90.00 90.00
Positions (direct):
1 Dy 0.000 0.000 0.000
2 Al 0.000 0.000 0.500
3 Ga 0.000 0.500 0.266
4 Ga 0.000 0.500 0.734
5 Ga 0.500 0.000 0.266
6 Ga 0.500 0.000 0.734
7 Ga 0.500 0.500 0.000
8 Ga 0.500 0.500 0.500

***

8.
For Dy2AlGa4, DFT lattice parameters and positions (PBE) gives the calculated X-ray diffraction stick pattern in this record (Cu Kα (weighted mean of Kα1 and Kα2)).
No peak broadening, texture or thermal motion is included.

Peak list (10 most intense, 10 to 90 degrees two-theta, in order of falling intensity)
Position (°2θ), I_rel
37.09, 100
31.49, 75
19.11, 65
38.78, 46
65.70, 37
50.80, 37
69.12, 31
43.58, 29
78.98, 22
56.01, 11

Crystal structure
abc: 6.567 6.567 3.592
angles: 90.00 90.00 90.00
Positions (direct):
1 Dy 0.000 0.500 0.000
2 Dy 0.500 0.000 0.000
3 Al 0.000 0.000 0.500
4 Ga 0.298 0.298 0.500
5 Ga 0.298 0.702 0.500
6 Ga 0.702 0.298 0.500
7 Ga 0.702 0.702 0.500

***

9.
For DyAlGa4, DFT lattice parameters and positions (PBE) gives the calculated X-ray diffraction stick pattern in this record (Cu Kα (weighted mean of Kα1 and Kα2)).
No peak broadening, texture or thermal motion is included.

Peak list (10 most intense, 10 to 90 degrees two-theta, in order of falling intensity)
Position (°2θ), I_rel
38.88, 100
25.13, 51
34.22, 20
10.32, 19
42.16, 17
39.10, 16
22.85, 16
46.59, 16
46.75, 16
31.03, 15

Crystal structure
abc: 3.886 3.899 8.574
angles: 90.00 90.00 90.00
Positions (direct):
1 Dy 0.000 0.000 0.000
2 Al 0.500 0.500 0.500
3 Ga 0.000 0.500 0.273
4 Ga 0.000 0.500 0.727
5 Ga 0.500 0.000 0.274
6 Ga 0.500 0.000 0.726

***

10.
For DyAl6Ga, DFT lattice parameters and positions (PBE) gives the calculated X-ray diffraction stick pattern in this record (Cu Kα (weighted mean of Kα1 and Kα2)).
No peak broadening, texture or thermal motion is included.

Peak list (10 most intense, 10 to 90 degrees two-theta, in order of falling intensity)
Position (°2θ), I_rel
39.03, 100
17.94, 39
18.31, 36
25.74, 31
37.11, 30
36.33, 30
52.91, 20
68.18, 19
25.01, 18
34.16, 18

Crystal structure
abc: 5.835 5.835 4.845
angles: 90.00 90.00 115.89
Positions (direct):
1 Dy 0.000 0.000 0.000
2 Al 0.000 0.500 0.000
3 Al 0.223 0.777 0.500
4 Al 0.294 0.294 0.500
5 Al 0.500 0.000 0.000
6 Al 0.706 0.706 0.500
7 Al 0.777 0.223 0.500
8 Ga 0.500 0.500 0.000

***

11.
For Dy3Al4Ga2, DFT lattice parameters and positions (PBE) gives the calculated X-ray diffraction stick pattern in this record (Cu Kα (weighted mean of Kα1 and Kα2)).
No peak broadening, texture or thermal motion is included.

Peak list (10 most intense, 10 to 90 degrees two-theta, in order of falling intensity)
Position (°2θ), I_rel
34.15, 100
40.23, 47
22.90, 46
53.77, 27
67.09, 20
69.21, 17
69.29, 9
56.84, 8
51.26, 8
85.46, 7

Crystal structure
abc: 5.730 5.730 8.549
angles: 110.94 110.94 46.02
Positions (direct):
1 Dy 0.000 0.000 0.000
2 Dy 0.330 0.330 0.338
3 Dy 0.670 0.670 0.662
4 Al 0.043 0.043 0.377
5 Al 0.269 0.269 0.935
6 Al 0.731 0.731 0.065
7 Al 0.957 0.957 0.623
8 Ga 0.390 0.390 0.722
9 Ga 0.610 0.610 0.278